(1)
# Na3MnPCO7
Simulated X-ray powder pattern, Cu Ka. Input: a DFT-relaxed cell (GGA+U, the Materials Project).
Kinematic intensities with the Lorentz-polarization factor, no thermal factor.

Cell: 5.319 6.741 9.091 Å, 90.00 90.10 90.00°
Space group P2_1 (No. 4)
One atom of each set of equivalent atoms:
Na (0.004, 0.000, 0.498) (multiplicity 2)
Na (0.442, 0.265, 0.334) (multiplicity 2)
Na (0.493, 0.994, 0.007) (multiplicity 2)
Mn (0.021, 0.747, 0.206) (multiplicity 2)
P (0.016, 0.747, 0.843) (multiplicity 2)
C (0.499, 0.747, 0.350) (multiplicity 2)
O (0.065, 0.432, 0.251) (multiplicity 2)
O (0.075, 0.063, 0.247) (multiplicity 2)
O (0.126, 0.251, 0.007) (multiplicity 2)
O (0.265, 0.250, 0.607) (multiplicity 2)
O (0.303, 0.745, 0.866) (multiplicity 2)
O (0.322, 0.747, 0.449) (multiplicity 2)
O (0.444, 0.743, 0.211) (multiplicity 2)

The 6 most intense peaks (10° ≤ 2θ ≤ 90°), low angle first:
2θ 16.67, rel. 492, (1 0 0); 2θ 26.44, rel. 695, (0 2 0); 2θ 32.97, rel. 1000, (1 2 1); 2θ 33.70, rel. 460, (2 0 0); 2θ 34.04, rel. 604, (1 0 -3); 2θ 47.96, rel. 427, (2 2 2)

---

(2)
# Na5Mn2P2C2O14
Simulated X-ray powder pattern, Cu Ka. Input: a DFT-relaxed cell (GGA+U, the Materials Project).
Kinematic intensities with the Lorentz-polarization factor, no thermal factor.

Cell: 5.237 9.026 13.487 Å, 89.93 89.95 89.28°
Space group P-1 (No. 2)
One atom of each set of equivalent atoms:
Na (0.242, 0.238, 0.004) (multiplicity 2)
Na (0.242, 0.919, 0.374) (multiplicity 2)
Na (0.244, 0.250, 0.245) (multiplicity 2)
Na (0.246, 0.251, 0.750) (multiplicity 2)
Na (0.247, 0.259, 0.501) (multiplicity 2)
Mn (0.221, 0.641, 0.626) (multiplicity 2)
Mn (0.223, 0.645, 0.124) (multiplicity 2)
P (0.295, 0.577, 0.876) (multiplicity 2)
P (0.297, 0.586, 0.374) (multiplicity 2)
C (0.266, 0.939, 0.625) (multiplicity 2)
C (0.276, 0.925, 0.125) (multiplicity 2)
O (0.043, 0.877, 0.624) (multiplicity 2)
O (0.061, 0.848, 0.123) (multiplicity 2)
O (0.164, 0.424, 0.877) (multiplicity 2)
O (0.175, 0.430, 0.373) (multiplicity 2)
O (0.212, 0.679, 0.465) (multiplicity 2)
O (0.217, 0.678, 0.280) (multiplicity 2)
O (0.223, 0.669, 0.784) (multiplicity 2)
O (0.227, 0.668, 0.970) (multiplicity 2)
O (0.271, 0.065, 0.128) (multiplicity 2)
O (0.285, 0.081, 0.623) (multiplicity 2)
O (0.404, 0.451, 0.126) (multiplicity 2)
O (0.406, 0.431, 0.625) (multiplicity 2)
O (0.470, 0.854, 0.625) (multiplicity 2)
O (0.480, 0.842, 0.125) (multiplicity 2)

The 6 most intense peaks (10° ≤ 2θ ≤ 90°), low angle first:
2θ 16.41, rel. 402, (0 1 2); 2θ 25.90, rel. 458, (1 2 0); 2θ 26.43, rel. 799, (0 0 4); 2θ 33.06, rel. 465, (1 1 4); 2θ 33.18, rel. 925, (0 2 -4); 2θ 34.23, rel. 1000, (2 0 0)